Entry 1:
Diffraction record for PmNd. The powder XRD pattern is theoretical, not measured: it uses a DFT-relaxed cell (PBE, OQMD) and CuKα.
Kinematic intensities with the Lorentz-polarization factor, no thermal factor.

Largest 12 diffraction maxima, most intense first, 2θ = 15–90°:
2theta	I (rel.)	h k l
31.93	100	1 0 1
30.04	26	0 0 2
28.08	23	1 0 0
59.17	23	1 1 2
54.54	22	1 0 3
49.70	19	1 1 0
60.30	16	2 0 1
41.58	16	1 0 2
81.82	14	2 1 1
87.57	10	1 0 5
83.71	9	1 1 4
76.89	8	2 0 3

Structure:
Unit cell a=3.6688 b=3.6688 c=5.9504 alpha=90.00 beta=90.00 gamma=120.00
Space group P-6m2 (No. 187)
One atom of each set of equivalent atoms:
Pm  0.0000  0.0000  0.0000 [1 per cell]
Nd  0.3333  0.6667  0.5000 [1 per cell]


Entry 2:
Diffraction record for PrNd2S3. The powder XRD pattern is theoretical, not measured: it uses a DFT-relaxed cell (PBE, OQMD) and CuKα.
Kinematic intensities with the Lorentz-polarization factor, no thermal factor.

Largest 12 diffraction maxima, most intense first, 2θ = 15–90°:
2theta	I (rel.)	h k l
31.03	100	0 1 2
26.79	74	1 0 1
44.46	72	1 1 0
52.67	37	1 1 3
73.48	32	1 2 2
55.23	19	2 0 2
81.92	18	3 0 0
64.70	12	0 2 4
88.09	9	3 0 3
71.28	7	2 0 5
71.38	7	2 1 1
55.13	6	0 0 6

Structure:
Unit cell a=4.0727 b=4.0727 c=9.9950 alpha=90.00 beta=90.00 gamma=120.00
Space group P-3m1 (No. 164)
One atom of each set of equivalent atoms:
Pr  0.0000  0.0000  0.0000 [1 per cell]
Nd  0.3333  0.6667  0.6664 [2 per cell]
S  0.0000  0.0000  0.5000 [1 per cell]
S  0.3333  0.6667  0.1691 [2 per cell]


Entry 3:
Diffraction record for PrNdZr2Sb2. The powder XRD pattern is theoretical, not measured: it uses a DFT-relaxed cell (PBE, OQMD) and CuKα.
Kinematic intensities with the Lorentz-polarization factor, no thermal factor.

Largest 12 diffraction maxima, most intense first, 2θ = 15–90°:
2theta	I (rel.)	h k l
35.86	100	1 1 4
30.79	80	1 1 2
33.23	68	1 0 5
41.37	68	2 0 0
28.93	41	1 1 0
54.06	34	2 1 5
68.89	33	2 1 9
31.31	32	0 0 6
52.78	29	2 0 6
71.85	25	3 1 4
59.94	22	2 2 0
52.42	20	1 0 9

Structure:
Unit cell a=4.3652 b=4.3652 c=17.1394 alpha=90.00 beta=90.00 gamma=90.00
Space group I4mm (No. 107)
One atom of each set of equivalent atoms:
Pr  0.0000  0.0000  0.0000 [2 per cell]
Nd  0.0000  0.0000  0.3540 [2 per cell]
Zr  0.0000  0.5000  0.1776 [4 per cell]
Sb  0.0000  0.0000  0.5504 [2 per cell]
Sb  0.0000  0.0000  0.8046 [2 per cell]


Entry 4:
Diffraction record for Pr4Nd4Se3. The powder XRD pattern is theoretical, not measured: it uses a DFT-relaxed cell (PBE, OQMD) and CuKα.
Kinematic intensities with the Lorentz-polarization factor, no thermal factor.

Largest 12 diffraction maxima, most intense first, 2θ = 15–90°:
2theta	I (rel.)	h k l
33.46	100	2 1 3
26.52	38	2 0 4
33.60	31	4 0 0
24.80	16	0 1 1
30.99	14	0 0 6
60.00	14	6 1 3
49.68	13	0 2 0
61.32	11	4 2 0
56.58	11	4 1 7
39.57	11	2 1 5
44.14	10	0 1 7
30.02	10	2 1 1

Structure:
Unit cell a=10.6679 b=3.6702 c=17.3125 alpha=90.00 beta=90.00 gamma=90.00
Space group Amm2 (No. 38)
One atom of each set of equivalent atoms:
Pr  0.0000  0.0000  0.0000 [2 per cell]
Pr  0.2310  0.0000  0.8444 [4 per cell]
Pr  0.5000  0.0000  0.9800 [2 per cell]
Nd  0.0000  0.0000  0.6973 [2 per cell]
Nd  0.2757  0.0000  0.1366 [4 per cell]
Nd  0.5000  0.0000  0.7440 [2 per cell]
Se  0.0000  0.0000  0.3481 [2 per cell]
Se  0.2623  0.0000  0.4879 [4 per cell]


Entry 5:
Diffraction record for PrNd3Se7. The powder XRD pattern is theoretical, not measured: it uses a DFT-relaxed cell (PBE, OQMD) and CuKα.
Kinematic intensities with the Lorentz-polarization factor, no thermal factor.

Largest 12 diffraction maxima, most intense first, 2θ = 15–90°:
2theta	I (rel.)	h k l
28.18	100	0 1 3
32.85	53	2 1 3
20.97	47	2 0 2
42.20	39	2 1 5
42.67	31	2 0 6
41.48	26	0 2 0
44.28	25	4 1 3
33.44	24	4 0 0
40.04	23	4 1 1
61.03	22	2 2 6
35.94	13	4 0 2
54.30	12	4 2 0

Structure:
Unit cell a=10.7180 b=4.3534 c=13.8421 alpha=90.00 beta=90.00 gamma=90.00
Space group Amm2 (No. 38)
One atom of each set of equivalent atoms:
Pr  0.0000  0.0000  0.0000 [2 per cell]
Nd  0.2591  0.0000  0.7184 [4 per cell]
Nd  0.5000  0.0000  0.9927 [2 per cell]
Se  0.0000  0.0000  0.6456 [2 per cell]
Se  0.1149  0.0000  0.3571 [4 per cell]
Se  0.2526  0.0000  0.0775 [4 per cell]
Se  0.5000  0.0000  0.3415 [2 per cell]
Se  0.5000  0.0000  0.6305 [2 per cell]


Entry 6:
Diffraction record for PrNdSi4. The powder XRD pattern is theoretical, not measured: it uses a DFT-relaxed cell (PBE, OQMD) and CuKα.
Kinematic intensities with the Lorentz-polarization factor, no thermal factor.

Largest 12 diffraction maxima, most intense first, 2θ = 15–90°:
2theta	I (rel.)	h k l
32.54	100	1 1 2
28.49	50	1 0 3
38.59	40	1 0 5
21.94	38	1 0 1
42.73	32	2 0 0
58.92	23	2 1 5
25.48	20	0 0 4
71.81	20	3 1 2
68.24	20	2 1 7
52.16	19	2 1 3
50.52	18	1 0 7
50.41	13	2 0 4

Structure:
Unit cell a=4.2325 b=4.2325 c=13.9833 alpha=90.00 beta=90.00 gamma=90.00
Space group I-4m2 (No. 119)
One atom of each set of equivalent atoms:
Pr  0.0000  0.0000  0.0000 [2 per cell]
Nd  0.0000  0.5000  0.2500 [2 per cell]
Si  0.0000  0.0000  0.4151 [4 per cell]
Si  0.0000  0.5000  0.6657 [4 per cell]